(1)
# Pm3Pr6Sm
Theoretical powder diffractogram, Cu Kα (weighted mean of Kα1 and Kα2). Input: the GGA-PBE geometry in Alexandria.

Structural model:
abc: 11.114 19.543 6.543
angles: 90.00 90.00 90.00
Space group Cmc2_1 (No. 36)
Unique sites:
1 Pm 0.000 0.117 0.000 (multiplicity 4)
2 Pm 0.175 0.382 0.628 (multiplicity 8)
3 Pr 0.000 0.220 0.438 (multiplicity 4)
4 Pr 0.000 0.466 0.232 (multiplicity 4)
5 Pr 0.170 0.040 0.532 (multiplicity 8)
6 Pr 0.234 0.208 0.715 (multiplicity 8)
7 Sm 0.000 0.310 0.981 (multiplicity 4)

Most intense lines, 15° ≤ 2θ ≤ 90°, in order of rising 2θ:
| d_spacing | Position (°2θ) | Rel. int. | index |
| --- | --- | --- | --- |
| 3.216 | 27.74 | 44 | 3 3 0 |
| 3.200 | 27.88 | 52 | 2 4 1 |
| 3.181 | 28.05 | 41 | 3 1 1 |
| 3.099 | 28.80 | 26 | 1 1 2 |
| 2.916 | 30.66 | 100 | 0 6 1 |
| 2.889 | 30.95 | 47 | 3 3 1 |
| 2.821 | 31.72 | 34 | 2 0 2 |
| 2.709 | 33.07 | 62 | 2 2 2 |
| 2.689 | 33.32 | 26 | 3 5 0 |
| 1.563 | 59.10 | 21 | 6 6 1 |

(2)
# Pm2Pr12Sm
Theoretical powder diffractogram, Cu Kα (weighted mean of Kα1 and Kα2). Input: the GGA-PBE geometry in Alexandria.

Structural model:
abc: 6.660 6.660 25.771
angles: 90.00 90.00 90.00
Space group P4/nbm (No. 125, origin choice 2)
Unique sites:
1 Pm 0.250 0.750 0.232 (multiplicity 4)
2 Pr 0.065 0.565 0.386 (multiplicity 8)
3 Pr 0.082 0.582 0.062 (multiplicity 8)
4 Pr 0.250 0.250 0.162 (multiplicity 4)
5 Pr 0.250 0.250 0.285 (multiplicity 4)
6 Sm 0.250 0.750 0.500 (multiplicity 2)

Most intense lines, 15° ≤ 2θ ≤ 90°, in order of rising 2θ:
| d_spacing | Position (°2θ) | Rel. int. | index |
| --- | --- | --- | --- |
| 4.423 | 20.07 | 37 | 1 1 2 |
| 3.224 | 27.67 | 80 | 2 0 2 |
| 3.105 | 28.75 | 54 | 2 0 3 |
| 2.958 | 30.21 | 100 | 2 0 4 |
| 2.900 | 30.83 | 96 | 1 1 7 |
| 2.863 | 31.24 | 55 | 0 0 9 |
| 2.814 | 31.80 | 91 | 2 1 3 |
| 2.447 | 36.72 | 63 | 2 1 6 |
| 2.355 | 38.22 | 56 | 2 2 0 |
| 1.697 | 54.05 | 50 | 3 1 9 |

(3)
# Pm5Pr2Sm2
Theoretical powder diffractogram, Cu Kα (weighted mean of Kα1 and Kα2). Input: the GGA-PBE geometry in Alexandria.

Structural model:
abc: 8.961 3.628 9.928
angles: 90.00 103.52 90.00
Space group P2/m (No. 10)
Unique sites:
1 Pm 0.000 0.000 0.000 (multiplicity 1)
2 Pm 0.317 0.000 0.537 (multiplicity 2)
3 Pm 0.349 0.500 0.216 (multiplicity 2)
4 Pr 0.022 0.500 0.681 (multiplicity 2)
5 Sm 0.337 0.000 0.888 (multiplicity 2)

Most intense lines, 15° ≤ 2θ ≤ 90°, in order of rising 2θ:
| d_spacing | Position (°2θ) | Rel. int. | index |
| --- | --- | --- | --- |
| 3.080 | 28.99 | 68 | 1 1 1 |
| 2.937 | 30.44 | 96 | 2 0 -3 |
| 2.905 | 30.78 | 93 | 3 0 0 |
| 2.900 | 30.83 | 91 | 0 1 2 |
| 2.812 | 31.82 | 81 | 1 0 3 |
| 2.792 | 32.06 | 100 | 2 1 -1 |
| 1.922 | 47.30 | 37 | 3 1 2 |
| 1.543 | 59.93 | 28 | 2 2 -3 |
| 1.539 | 60.14 | 27 | 3 2 0 |
| 1.524 | 60.76 | 26 | 1 2 3 |

(4)
# Pm16Pr6Sm7
Theoretical powder diffractogram, Cu Kα (weighted mean of Kα1 and Kα2). Input: the GGA-PBE geometry in Alexandria.

Structural model:
abc: 16.136 16.136 16.136
angles: 90.00 90.00 90.00
Space group Fm-3m (No. 225)
Unique sites:
1 Pm 0.127 0.127 0.127 (multiplicity 32)
2 Pm 0.152 0.152 0.348 (multiplicity 32)
3 Pr 0.000 0.000 0.272 (multiplicity 24)
4 Sm 0.000 0.000 0.000 (multiplicity 4)
5 Sm 0.000 0.250 0.250 (multiplicity 24)

Most intense lines, 15° ≤ 2θ ≤ 90°, in order of rising 2θ:
| d_spacing | Position (°2θ) | Rel. int. | index |
| --- | --- | --- | --- |
| 3.294 | 27.07 | 7 | 4 2 2 |
| 3.105 | 28.75 | 12 | 3 3 3 |
| 2.853 | 31.36 | 100 | 4 4 0 |
| 2.728 | 32.84 | 6 | 5 3 1 |
| 2.689 | 33.32 | 6 | 6 0 0 |
| 2.101 | 43.06 | 6 | 7 3 1 |
| 2.017 | 44.94 | 14 | 8 0 0 |
| 1.647 | 55.82 | 25 | 8 4 4 |
| 1.426 | 65.44 | 7 | 8 8 0 |
| 1.276 | 74.36 | 6 | 12 4 0 |